This entry pairs a crystal structure of NiAs3F with its theoretical X-ray powder pattern. Radiation: Cu Kα, 1.54184 Å. Structure: DFT lattice parameters and positions (GGA+U).
No peak broadening, texture or thermal motion is included.

Structural model:
Cell lengths 4.5324, 4.5324, 4.5324 Å; angles 90.00, 90.00, 90.00 degrees
Space group Pm-3m (No. 221)
Asymmetric unit:
Ni 0.0000 0.0000 0.0000
As 0.0000 0.0000 0.5000
F 0.5000 0.5000 0.5000

Top 10 peaks for 10 to 90 degrees two-theta, in order of falling intensity:
| h k l | d (Å) | I (rel.) |
| --- | --- | --- |
| 2 0 0 | 2.266 | 100.0 |
| 1 0 0 | 4.532 | 93.5 |
| 1 1 1 | 2.617 | 70.3 |
| 2 2 0 | 1.602 | 65.0 |
| 2 1 0 | 2.027 | 43.4 |
| 3 1 1 | 1.367 | 26.7 |
| 2 2 2 | 1.308 | 21.4 |
| 3 0 0 | 1.511 | 20.9 |
| 4 1 0 | 1.099 | 12.3 |
| 4 0 0 | 1.133 | 10.1 |